Starting from a DFT-relaxed cell (GGA+U, the Materials Project), the powder diffraction line list of MgV8O20 was calculated for Cu Kα, 1.54184 Å.

Atomic structure:
```
data_MgV8O20
_space_group_name_H-M_alt 'P 1 m 1'
_space_group_IT_number 6
_cell_length_a 10.040
_cell_length_b 3.667
_cell_length_c 11.349
_cell_angle_alpha 90.00
_cell_angle_beta 91.62
_cell_angle_gamma 90.00
loop_
_space_group_symop_operation_xyz
'x,y,z'
'x,-y,z'
loop_
_atom_site_label
_atom_site_type_symbol
_atom_site_fract_x
_atom_site_fract_y
_atom_site_fract_z
Mg1 Mg 0.000 0.000 0.000
V1 V 0.122 0.500 0.789
V2 V 0.175 0.000 0.206
V3 V 0.316 0.500 0.386
V4 V 0.371 0.000 0.802
V5 V 0.620 0.500 0.303
V6 V 0.685 0.000 0.861
V7 V 0.816 0.500 0.674
V8 V 0.868 0.000 0.295
O1 O 0.027 0.500 0.916
O2 O 0.174 0.000 0.768
O3 O 0.174 0.500 0.265
O4 O 0.203 0.000 0.060
O5 O 0.250 0.500 0.514
O6 O 0.318 0.000 0.331
O7 O 0.320 0.500 0.826
O8 O 0.444 0.000 0.678
O9 O 0.497 0.500 0.414
O10 O 0.515 0.000 0.907
O11 O 0.537 0.500 0.178
O12 O 0.674 0.000 0.324
O13 O 0.684 0.500 0.810
O14 O 0.753 0.500 0.542
O15 O 0.790 0.000 0.976
O16 O 0.798 0.000 0.726
O17 O 0.815 0.500 0.273
O18 O 0.961 0.000 0.413
O19 O 0.981 0.000 0.175
O20 O 0.991 0.500 0.667
```

The 8 most intense peaks (10 to 90 degrees two-theta), low angle first:
2theta, intensity, (hkl)
15.62, 100, 0 0 2
17.70, 19, 2 0 0
24.93, 14, 1 0 -3
25.53, 18, 0 1 1
26.98, 29, 1 1 -1
27.13, 27, 1 1 1
30.22, 18, 1 1 -2
49.72, 20, 0 2 0

***

Starting from a DFT-relaxed cell (GGA+U, the Materials Project), the powder diffraction line list of K2MoO3F4 was calculated for Cu Kα, 1.54184 Å.

Atomic structure:
```
data_K2MoO3F4
_space_group_name_H-M_alt 'P 1 21/c 1'
_space_group_IT_number 14
_cell_length_a 6.290
_cell_length_b 6.289
_cell_length_c 18.389
_cell_angle_alpha 90.00
_cell_angle_beta 95.02
_cell_angle_gamma 90.00
loop_
_space_group_symop_operation_xyz
'x,y,z'
'-x,-y,-z'
'-x,y+1/2,-z+1/2'
'x,-y+1/2,z+1/2'
loop_
_atom_site_label
_atom_site_type_symbol
_atom_site_fract_x
_atom_site_fract_y
_atom_site_fract_z
K1 K 0.197 0.165 0.102
K2 K 0.253 0.650 0.251
Mo1 Mo 0.296 0.155 0.370
O1 O 0.213 0.676 0.491
O2 O 0.268 0.176 0.463
O3 O 0.498 0.032 0.634
F1 F 0.050 0.131 0.845
F2 F 0.066 0.555 0.846
F3 F 0.286 0.181 0.256
F4 F 0.477 0.092 0.864
```

The 8 most intense peaks (10 to 90 degrees two-theta), low angle first:
2theta, intensity, (hkl)
16.43, 50, 1 0 -2
17.10, 66, 0 1 2
17.84, 51, 1 0 2
19.38, 65, 0 0 4
20.00, 100, 1 1 0
27.10, 89, 1 1 -4
28.84, 99, 1 1 4
40.65, 96, 2 2 -1

***

Starting from a DFT-relaxed cell (GGA+U, the Materials Project), the powder diffraction line list of Li9Mn2Co5O16 was calculated for Cu Kα, 1.54184 Å.

Atomic structure:
```
data_Li9Mn2Co5O16
_space_group_name_H-M_alt 'P 1'
_space_group_IT_number 1
_cell_length_a 5.934
_cell_length_b 7.700
_cell_length_c 7.761
_cell_angle_alpha 65.15
_cell_angle_beta 67.66
_cell_angle_gamma 68.40
loop_
_space_group_symop_operation_xyz
'x,y,z'
loop_
_atom_site_label
_atom_site_type_symbol
_atom_site_fract_x
_atom_site_fract_y
_atom_site_fract_z
Li1 Li 0.000 0.000 0.000
Li2 Li 0.003 0.499 0.498
Li3 Li 0.119 0.881 0.365
Li4 Li 0.252 0.251 0.249
Li5 Li 0.371 0.631 0.123
Li6 Li 0.495 0.003 0.003
Li7 Li 0.633 0.367 0.882
Li8 Li 0.749 0.753 0.752
Li9 Li 0.878 0.123 0.632
Mn1 Mn 0.248 0.753 0.750
Mn2 Mn 0.501 0.502 0.499
Co1 Co 0.117 0.368 0.877
Co2 Co 0.379 0.119 0.633
Co3 Co 0.632 0.887 0.361
Co4 Co 0.764 0.243 0.246
Co5 Co 0.877 0.634 0.123
O1 O 0.016 0.262 0.752
O2 O 0.107 0.142 0.132
O3 O 0.157 0.623 0.625
O4 O 0.243 0.515 0.979
O5 O 0.259 0.988 0.519
O6 O 0.370 0.876 0.857
O7 O 0.394 0.370 0.388
O8 O 0.494 0.265 0.735
O9 O 0.506 0.734 0.264
O10 O 0.598 0.635 0.615
O11 O 0.617 0.118 0.143
O12 O 0.740 0.002 0.495
O13 O 0.763 0.497 0.009
O14 O 0.845 0.386 0.380
O15 O 0.904 0.860 0.868
O16 O 0.982 0.743 0.250
```

The 8 most intense peaks (10 to 90 degrees two-theta), low angle first:
2theta, intensity, (hkl)
18.24, 100, 1 0 1
35.81, 14, -1 1 2
35.92, 13, 1 2 -1
43.20, 28, -2 1 1
43.49, 27, 0 2 -2
43.79, 27, 2 3 3
62.67, 15, 2 -3 1
63.81, 14, 0 4 4

***

Starting from a DFT-relaxed cell (GGA+U, the Materials Project), the powder diffraction line list of Li5Ti6FeO16 was calculated for Cu Kα, 1.54184 Å.

Atomic structure:
```
data_Li5Ti6FeO16
_space_group_name_H-M_alt 'P 1 m 1'
_space_group_IT_number 6
_cell_length_a 5.956
_cell_length_b 5.972
_cell_length_c 8.455
_cell_angle_alpha 90.00
_cell_angle_beta 90.33
_cell_angle_gamma 90.00
loop_
_space_group_symop_operation_xyz
'x,y,z'
'x,-y,z'
loop_
_atom_site_label
_atom_site_type_symbol
_atom_site_fract_x
_atom_site_fract_y
_atom_site_fract_z
Li1 Li 0.000 0.000 0.000
Li2 Li 0.029 0.500 0.257
Li3 Li 0.268 0.500 0.879
Li4 Li 0.503 0.500 0.495
Li5 Li 0.760 0.000 0.376
Ti1 Ti 0.014 0.259 0.624
Ti2 Ti 0.257 0.000 0.370
Ti3 Ti 0.514 0.251 0.136
Ti4 Ti 0.784 0.500 0.883
Fe1 Fe 0.526 0.000 0.762
O1 O 0.027 0.226 0.401
O2 O 0.224 0.500 0.630
O3 O 0.251 0.000 0.625
O4 O 0.278 0.000 0.140
O5 O 0.305 0.500 0.120
O6 O 0.494 0.229 0.358
O7 O 0.525 0.263 0.887
O8 O 0.721 0.000 0.127
O9 O 0.744 0.500 0.115
O10 O 0.786 0.500 0.636
O11 O 0.787 0.000 0.630
O12 O 0.994 0.271 0.859
```

The 8 most intense peaks (10 to 90 degrees two-theta), low angle first:
2theta, intensity, (hkl)
18.25, 100, 1 0 1
21.05, 22, 1 1 0
30.00, 22, 2 0 0
35.21, 59, 1 0 -3
35.28, 21, 2 1 -1
42.78, 20, 0 0 4
42.89, 40, 2 2 0
62.34, 25, 4 0 0

***

Starting from a DFT-relaxed cell (GGA+U, the Materials Project), the powder diffraction line list of CoRePb2O6 was calculated for Cu Kα, 1.54184 Å.

Atomic structure:
```
data_CoRePb2O6
_space_group_name_H-M_alt 'F m -3 m'
_space_group_IT_number 225
_space_group_name_Hall '-F 4 2 3'
_cell_length_a 8.044
_cell_length_b 8.044
_cell_length_c 8.044
_cell_angle_alpha 90.00
_cell_angle_beta 90.00
_cell_angle_gamma 90.00
loop_
_atom_site_label
_atom_site_type_symbol
_atom_site_fract_x
_atom_site_fract_y
_atom_site_fract_z
Co1 Co 0.000 0.000 0.000
Re1 Re 0.000 0.000 0.500
Pb1 Pb 0.250 0.250 0.250
O1 O 0.000 0.000 0.261
```

The 8 most intense peaks (10 to 90 degrees two-theta), low angle first:
2theta, intensity, (hkl)
19.11, 9, 1 1 1
31.46, 100, 2 2 0
38.78, 7, 2 2 2
45.08, 27, 4 0 0
56.00, 41, 4 2 2
65.66, 17, 4 4 0
74.62, 18, 6 2 0
83.21, 6, 4 4 4

***

Starting from a DFT-relaxed cell (GGA+U, the Materials Project), the powder diffraction line list of MgCr2O4 was calculated for Cu Kα, 1.54184 Å.

Atomic structure:
```
data_MgCr2O4
_space_group_name_H-M_alt 'A m m 2'
_space_group_IT_number 38
_cell_length_a 3.012
_cell_length_b 6.436
_cell_length_c 8.258
_cell_angle_alpha 90.00
_cell_angle_beta 90.00
_cell_angle_gamma 90.00
loop_
_space_group_symop_operation_xyz
'x,y,z'
'-x,-y,z'
'-x,y,z'
'x,-y,z'
'x,y+1/2,z+1/2'
'-x,-y+1/2,z+1/2'
'-x,y+1/2,z+1/2'
'x,-y+1/2,z+1/2'
loop_
_atom_site_label
_atom_site_type_symbol
_atom_site_fract_x
_atom_site_fract_y
_atom_site_fract_z
Mg1 Mg 0.000 0.000 0.000
Cr1 Cr 0.000 0.000 0.676
Cr2 Cr 0.500 0.000 0.286
O1 O 0.000 0.186 0.202
O2 O 0.500 0.000 0.518
O3 O 0.500 0.000 0.852
```

The 8 most intense peaks (10 to 90 degrees two-theta), low angle first:
2theta, intensity, (hkl)
21.52, 55, 0 0 2
27.72, 100, 0 2 0
34.63, 62, 1 1 1
35.47, 37, 0 1 3
36.94, 41, 1 0 2
46.85, 58, 1 1 3
53.61, 34, 1 3 1
61.60, 29, 2 0 0

***

Starting from a DFT-relaxed cell (GGA+U, the Materials Project), the powder diffraction line list of Li5Mn5Sb2O12 was calculated for Cu Kα, 1.54184 Å.

Atomic structure:
```
data_Li5Mn5Sb2O12
_space_group_name_H-M_alt 'C 1 2 1'
_space_group_IT_number 5
_cell_length_a 5.415
_cell_length_b 9.568
_cell_length_c 10.415
_cell_angle_alpha 90.00
_cell_angle_beta 102.07
_cell_angle_gamma 90.00
loop_
_space_group_symop_operation_xyz
'x,y,z'
'-x,y,-z'
'x+1/2,y+1/2,z'
'-x+1/2,y+1/2,-z'
loop_
_atom_site_label
_atom_site_type_symbol
_atom_site_fract_x
_atom_site_fract_y
_atom_site_fract_z
Li1 Li 0.000 0.000 0.000
Li2 Li 0.242 0.832 0.246
Li3 Li 0.249 0.511 0.248
Mn1 Mn 0.000 0.341 0.000
Mn2 Mn 0.000 0.501 0.500
Mn3 Mn 0.000 0.841 0.500
Mn4 Mn 0.242 0.166 0.244
Sb1 Sb 0.000 0.172 0.500
Sb2 Sb 0.000 0.669 0.000
O1 O 0.109 0.518 0.886
O2 O 0.112 0.818 0.884
O3 O 0.116 0.010 0.375
O4 O 0.116 0.330 0.376
O5 O 0.126 0.671 0.380
O6 O 0.147 0.172 0.882
```

The 8 most intense peaks (10 to 90 degrees two-theta), low angle first:
2theta, intensity, (hkl)
17.42, 63, 0 0 2
18.55, 46, 0 2 0
22.49, 58, 1 1 1
29.64, 25, 1 1 -3
34.91, 31, 1 3 1
40.07, 100, 1 3 -3
41.61, 41, 2 0 2
58.81, 25, 3 3 -1

***

Starting from a DFT-relaxed cell (GGA+U, the Materials Project), the powder diffraction line list of CaLaMnMoO6 was calculated for Cu Kα, 1.54184 Å.

Atomic structure:
```
data_CaLaMnMoO6
_space_group_name_H-M_alt 'P 1 c 1'
_space_group_IT_number 7
_cell_length_a 5.610
_cell_length_b 5.775
_cell_length_c 9.772
_cell_angle_alpha 90.00
_cell_angle_beta 124.31
_cell_angle_gamma 90.00
loop_
_space_group_symop_operation_xyz
'x,y,z'
'x,-y,z+1/2'
loop_
_atom_site_label
_atom_site_type_symbol
_atom_site_fract_x
_atom_site_fract_y
_atom_site_fract_z
Ca1 Ca 0.000 0.195 0.000
La1 La 0.531 0.303 0.511
Mn1 Mn 0.766 0.248 0.255
Mo1 Mo 0.267 0.248 0.756
O1 O 0.036 0.470 0.200
O2 O 0.121 0.210 0.512
O3 O 0.404 0.286 0.997
O4 O 0.497 0.032 0.307
O5 O 0.614 0.440 0.806
O6 O 0.921 0.057 0.703
```

The 8 most intense peaks (10 to 90 degrees two-theta), low angle first:
2theta, intensity, (hkl)
18.90, 43, 0 1 1
30.97, 44, 0 2 0
31.25, 99, 1 1 1
31.54, 100, 1 1 -3
31.91, 48, 2 0 -2
44.92, 30, 0 0 4
45.06, 48, 2 2 -2
56.26, 25, 3 1 -1

***

Starting from a DFT-relaxed cell (GGA+U, the Materials Project), the powder diffraction line list of MgFe2Mo2Cl2O8 was calculated for Cu Kα, 1.54184 Å.

Atomic structure:
```
data_MgFe2Mo2Cl2O8
_space_group_name_H-M_alt 'P 1'
_space_group_IT_number 1
_cell_length_a 5.333
_cell_length_b 7.186
_cell_length_c 7.207
_cell_angle_alpha 92.84
_cell_angle_beta 90.65
_cell_angle_gamma 90.78
loop_
_space_group_symop_operation_xyz
'x,y,z'
loop_
_atom_site_label
_atom_site_type_symbol
_atom_site_fract_x
_atom_site_fract_y
_atom_site_fract_z
Mg1 Mg 0.000 0.000 0.000
Fe1 Fe 0.349 0.233 0.233
Fe2 Fe 0.843 0.705 0.705
Mo1 Mo 0.109 0.225 0.706
Mo2 Mo 0.109 0.706 0.225
Cl1 Cl 0.404 0.738 0.737
Cl2 Cl 0.803 0.215 0.214
O1 O 0.261 0.935 0.210
O2 O 0.262 0.210 0.934
O3 O 0.316 0.216 0.515
O4 O 0.316 0.514 0.216
O5 O 0.910 0.016 0.726
O6 O 0.910 0.725 0.017
O7 O 0.919 0.704 0.424
O8 O 0.920 0.425 0.705
```

The 8 most intense peaks (10 to 90 degrees two-theta), low angle first:
2theta, intensity, (hkl)
16.63, 43, 1 0 0
23.87, 27, 1 -1 1
24.28, 14, -1 1 1
24.77, 100, 0 2 0
29.80, 12, 1 0 -2
37.90, 20, 2 1 -1
38.03, 11, -2 1 1
52.96, 11, -2 3 1

***

Starting from a DFT-relaxed cell (GGA+U, the Materials Project), the powder diffraction line list of LiV4O8 was calculated for Cu Kα, 1.54184 Å.

Atomic structure:
```
data_LiV4O8
_space_group_name_H-M_alt 'C 1 2/m 1'
_space_group_IT_number 12
_cell_length_a 12.737
_cell_length_b 3.824
_cell_length_c 6.400
_cell_angle_alpha 90.00
_cell_angle_beta 107.04
_cell_angle_gamma 90.00
loop_
_space_group_symop_operation_xyz
'x,y,z'
'-x,-y,-z'
'-x,y,-z'
'x,-y,z'
'x+1/2,y+1/2,z'
'-x+1/2,-y+1/2,-z'
'-x+1/2,y+1/2,-z'
'x+1/2,-y+1/2,z'
loop_
_atom_site_label
_atom_site_type_symbol
_atom_site_fract_x
_atom_site_fract_y
_atom_site_fract_z
Li1 Li 0.000 0.000 0.000
V1 V 0.102 0.000 0.676
V2 V 0.207 0.000 0.290
O1 O 0.053 0.000 0.344
O2 O 0.134 0.500 0.693
O3 O 0.148 0.000 0.010
O4 O 0.242 0.500 0.360
```

The 8 most intense peaks (10 to 90 degrees two-theta), low angle first:
2theta, intensity, (hkl)
14.51, 100, 0 0 1
24.40, 90, 1 1 0
28.67, 21, 4 0 -1
29.19, 33, 0 0 2
32.56, 21, 3 1 -1
42.63, 42, 6 0 -1
44.41, 34, 0 0 3
47.56, 36, 0 2 0